# 1
The following is a simulated X-ray powder pattern of CsHfCu3Se4. It was derived from a DFT-relaxed cell (GGA-PBE, Alexandria), using λ = 1.5418 Å (Cu Kα).
Peak positions follow from Bragg's law for the DFT cell and can differ from measured ones.

Cell and atoms:
Unit cell a=6.448 b=6.448 c=6.448 alpha=90.00 beta=90.00 gamma=90.00
Space group P-43m (No. 215)
Symmetry-distinct sites (fractional):
Cs  0.000  0.000  0.000 (multiplicity 1)
Hf  0.500  0.500  0.500 (multiplicity 1)
Cu  0.000  0.500  0.500 (multiplicity 3)
Se  0.279  0.279  0.721 (multiplicity 4)

Main lines, low angle first (10 to 80 degrees two-theta):
Position (°2θ)	intensity	(hkl)
13.7	32	1 0 0
19.5	59	1 1 0
23.9	48	1 1 1
34.1	31	2 1 1
39.5	100	2 2 0
46.7	19	3 1 1
53.1	22	3 2 1
71.7	27	4 2 2



# 2
The following is a simulated X-ray powder pattern of Na5B7C3. It was derived from a DFT-relaxed cell (GGA-PBE, Alexandria), using λ = 1.5418 Å (Cu Kα).
Peak positions follow from Bragg's law for the DFT cell and can differ from measured ones.

Cell and atoms:
Unit cell a=5.151 b=8.608 c=7.483 alpha=90.00 beta=110.13 gamma=90.00
Space group P2_1/m (No. 11)
Symmetry-distinct sites (fractional):
Na  0.000  0.000  0.000 (multiplicity 2)
Na  0.203  0.000  0.400 (multiplicity 4)
Na  0.401  0.001  0.801 (multiplicity 4)
B  0.049  0.750  0.796 (multiplicity 2)
B  0.055  0.250  0.806 (multiplicity 2)
B  0.147  0.250  0.596 (multiplicity 2)
B  0.165  0.750  0.600 (multiplicity 2)
B  0.279  0.250  0.199 (multiplicity 2)
B  0.351  0.750  0.006 (multiplicity 2)
B  0.480  0.250  0.602 (multiplicity 2)
C  0.260  0.750  0.197 (multiplicity 2)
C  0.338  0.250  0.997 (multiplicity 2)
C  0.460  0.750  0.600 (multiplicity 2)

Main lines, low angle first (10 to 80 degrees two-theta):
Position (°2θ)	intensity	(hkl)
34.8	12	2 0 -1
36.4	16	1 0 2
40.8	48	2 2 -1
42.0	38	0 4 0
42.2	100	1 2 2
63.5	18	3 0 1
76.9	13	1 6 2
79.1	17	3 4 1



# 3
The following is a simulated X-ray powder pattern of Y3Sc7. It was derived from a DFT-relaxed cell (GGA-PBE, Alexandria), using λ = 1.5418 Å (Cu Kα).
Peak positions follow from Bragg's law for the DFT cell and can differ from measured ones.

Cell and atoms:
Unit cell a=17.141 b=4.732 c=6.719 alpha=90.00 beta=101.58 gamma=90.00
Space group C2/m (No. 12)
Symmetry-distinct sites (fractional):
Y  0.000  0.000  0.000 (multiplicity 2)
Y  0.197  0.000  0.602 (multiplicity 4)
Sc  0.000  0.000  0.500 (multiplicity 2)
Sc  0.098  0.500  0.300 (multiplicity 4)
Sc  0.101  0.500  0.802 (multiplicity 4)
Sc  0.200  0.000  0.098 (multiplicity 4)

Main lines, low angle first (10 to 80 degrees two-theta):
Position (°2θ)	intensity	(hkl)
18.7	5	2 0 1
32.7	100	1 1 -2
37.8	16	6 0 -2
38.0	32	4 0 2
54.7	21	2 0 -4
54.8	10	4 2 2
65.0	12	7 1 -4
65.3	24	3 1 4



# 4
The following is a simulated X-ray powder pattern of RbCdIO2. It was derived from a DFT-relaxed cell (GGA-PBE, Alexandria), using λ = 1.5418 Å (Cu Kα).
Peak positions follow from Bragg's law for the DFT cell and can differ from measured ones.

Cell and atoms:
Unit cell a=4.702 b=4.702 c=5.991 alpha=90.00 beta=90.00 gamma=90.00
Space group P4/mmm (No. 123)
Symmetry-distinct sites (fractional):
Rb  0.000  0.000  0.000 (multiplicity 1)
Cd  0.500  0.500  0.500 (multiplicity 1)
I  0.500  0.500  0.000 (multiplicity 1)
O  0.000  0.500  0.500 (multiplicity 2)

Main lines, low angle first (10 to 80 degrees two-theta):
Position (°2θ)	intensity	(hkl)
18.9	65	1 0 0
26.8	100	1 1 0
29.8	58	0 0 2
30.8	28	1 1 1
35.5	26	1 0 2
38.3	58	2 0 0
40.5	67	1 1 2
49.3	55	2 0 2



Number 2 is which compound? Na5B7C3



Which formula does entry 2 have? Na5B7C3